(1)
The following is a computed powder XRD pattern of ZnW2O4. It was derived from a PBE+U-relaxed structure, using Cu Kα (λ = 1.5418 Å).

The 10 most intense peaks (15 to 90 degrees two-theta), in order of rising 2θ:
- d 5.260, rel. 42
- d 3.195, rel. 100
- d 2.747, rel. 50
- d 2.723, rel. 42
- d 2.712, rel. 90
- d 2.700, rel. 63
- d 2.684, rel. 80
- d 2.673, rel. 85
- d 2.570, rel. 78
- d 1.599, rel. 44

Atomic structure:
```
56
Lattice="5.5844 -3.1214 0.0000 5.5844 3.1214 0.0000 -3.7816 0.0000 20.7027" Properties=species:S:1:pos:R:3 pbc="T T T"
Zn 0.0000 0.0000 0.0000
Zn -1.8095 0.0000 12.4362
Zn 0.0768 0.0000 9.7722
Zn 0.1473 0.0000 15.5210
Zn 2.0753 0.0000 7.2718
Zn 3.4942 0.0000 4.3570
Zn 5.3822 0.0000 1.9371
Zn 5.6132 0.0000 17.4904
W 8.1576 -1.4822 1.9493
W -0.4917 0.0000 4.0937
W 4.7127 1.6821 6.8906
W 2.8688 1.5730 17.4901
W 0.0322 0.0000 19.3217
W 8.1576 1.4822 1.9493
W 3.8566 0.0000 11.2110
W 3.7905 0.0000 14.0356
W 6.4549 1.2990 12.3652
W 3.6500 0.0000 20.2011
W 7.7749 0.0000 5.6141
W 2.8688 -1.5730 17.4901
W 4.7127 -1.6821 6.8906
W 7.4962 0.0000 8.4636
W 7.5520 0.0000 15.2146
W 6.4549 -1.2990 12.3652
O 1.0097 1.5941 16.4187
O -1.7262 0.0000 16.3364
O 0.4274 0.0000 5.8989
O 2.9205 1.2724 5.8097
O 2.5060 1.6937 13.6845
O 4.4188 1.4849 3.1416
O 1.8056 0.0000 3.0817
O 0.0158 0.0000 13.4647
O 3.3841 0.0000 0.8645
O 4.8257 1.7673 11.0839
O 1.7568 0.0000 11.1853
O 6.3654 1.4304 0.7431
O 6.4260 1.6993 8.2828
O 2.0184 0.0000 18.7544
O 4.0083 0.0000 7.9508
O 4.6067 1.4109 18.8757
O 2.9205 -1.2724 5.8097
O 5.6498 0.0000 5.7602
O 3.8102 0.0000 16.3541
O 1.0097 -1.5941 16.4187
O 4.4188 -1.4849 3.1416
O 7.2695 0.0000 3.1836
O 2.5060 -1.6937 13.6845
O 5.8111 0.0000 14.0203
O 6.3654 -1.4304 0.7431
O 9.2173 0.0000 0.7540
O 7.6312 0.0000 11.1596
O 4.8257 -1.7673 11.0839
O 4.6067 -1.4109 18.8757
O 7.4748 0.0000 18.7094
O 6.4260 -1.6993 8.2828
O 9.5378 0.0000 8.4057
```

---

(2)
The following is a computed powder XRD pattern of ZnW2O4. It was derived from a PBE+U-relaxed structure, using Cu Kα (λ = 1.5418 Å).

The 10 most intense peaks (15 to 90 degrees two-theta), in order of rising 2θ:
- d 5.108, rel. 50
- d 3.163, rel. 32
- d 2.757, rel. 100
- d 2.734, rel. 86
- d 2.689, rel. 61
- d 2.632, rel. 78
- d 2.262, rel. 54
- d 1.743, rel. 38
- d 1.618, rel. 53
- d 1.581, rel. 43

Atomic structure:
```
42
Lattice="6.4728 0.0000 0.0000 -3.2364 5.6056 0.0000 0.0000 0.0000 15.3225" Properties=species:S:1:pos:R:3 pbc="T T T"
Zn 0.0000 0.0000 0.0000
Zn 0.0000 0.0000 3.6476
Zn 0.0000 0.0000 9.3851
Zn 0.0000 3.7371 8.7125
Zn 3.2364 1.8685 4.2717
Zn 3.2364 1.8685 13.9717
W 0.0000 1.8502 12.0438
W -1.6341 4.6805 12.0438
W 1.6013 0.9245 6.9322
W 0.0000 3.7371 5.3667
W 0.0000 3.7371 14.6216
W 3.2364 0.0291 1.8707
W 1.6434 2.7883 1.8707
W 3.2364 1.8685 10.4168
W 1.6341 4.6805 12.0438
W 4.8715 0.9245 6.9322
W 3.2364 3.7566 6.9322
W 4.8294 2.7883 1.8707
O 0.0000 0.0000 5.7702
O 0.0000 0.0000 13.1877
O -1.5114 2.8645 13.2541
O 0.0000 1.7452 8.1670
O -1.7250 4.7330 8.1670
O 0.0000 1.9640 0.5965
O -1.5356 4.6237 0.5965
O 1.4881 0.8591 10.7737
O 0.0000 3.7371 2.9725
O 0.0000 3.7371 10.8669
O 1.6877 0.9744 3.0820
O 1.5114 2.8645 13.2541
O 0.0000 5.4823 13.2541
O 3.2364 0.1348 5.6632
O 1.7349 2.7354 5.6632
O 1.5356 4.6237 0.5965
O 3.2364 1.8685 0.6743
O 3.2364 1.8685 8.0150
O 1.7250 4.7330 8.1670
O 4.7852 0.9744 3.0820
O 3.2364 3.6569 3.0820
O 4.9848 0.8591 10.7737
O 3.2364 3.8874 10.7737
O 4.7379 2.7354 5.6632
```

---

(3)
The following is a computed powder XRD pattern of ZnWO4. It was derived from a PBE+U-relaxed structure, using Cu Kα (λ = 1.5418 Å).

The 10 most intense peaks (15 to 90 degrees two-theta), in order of rising 2θ:
- d 4.578, rel. 62
- d 3.337, rel. 25
- d 3.280, rel. 28
- d 3.203, rel. 100
- d 2.930, rel. 65
- d 2.425, rel. 16
- d 2.332, rel. 38
- d 1.825, rel. 17
- d 1.644, rel. 20
- d 1.640, rel. 16

Atomic structure:
```
12
Lattice="3.2612 -6.6750 0.0000 3.2612 6.6750 0.0000 -3.2402 0.0000 3.6501" Properties=species:S:1:pos:R:3 pbc="T T T"
Zn 0.8310 5.1348 2.7376
Zn 2.4511 -5.1348 0.9125
W 2.4511 1.1041 0.9125
W 0.8310 -1.1041 2.7376
O 1.0279 2.2284 0.7815
O -0.5712 0.5814 2.6994
O 1.0489 -0.5814 0.8743
O -0.5922 -2.2284 2.6066
O 3.8743 2.2284 1.0435
O 2.2332 0.5814 2.7757
O 3.8533 -0.5814 0.9507
O 2.2542 -2.2284 2.8686
```

---

What did the first record say?
The following is a computed powder XRD pattern of ZnW2O4. It was derived from a PBE+U-relaxed structure, using Cu Kα (λ = 1.5418 Å).

The 10 most intense peaks (15 to 90 degrees two-theta), in order of rising 2θ:
- d 5.260, rel. 42
- d 3.195, rel. 100
- d 2.747, rel. 50
- d 2.723, rel. 42
- d 2.712, rel. 90
- d 2.700, rel. 63
- d 2.684, rel. 80
- d 2.673, rel. 85
- d 2.570, rel. 78
- d 1.599, rel. 44

Atomic structure:
```
56
Lattice="5.5844 -3.1214 0.0000 5.5844 3.1214 0.0000 -3.7816 0.0000 20.7027" Properties=species:S:1:pos:R:3 pbc="T T T"
Zn 0.0000 0.0000 0.0000
Zn -1.8095 0.0000 12.4362
Zn 0.0768 0.0000 9.7722
Zn 0.1473 0.0000 15.5210
Zn 2.0753 0.0000 7.2718
Zn 3.4942 0.0000 4.3570
Zn 5.3822 0.0000 1.9371
Zn 5.6132 0.0000 17.4904
W 8.1576 -1.4822 1.9493
W -0.4917 0.0000 4.0937
W 4.7127 1.6821 6.8906
W 2.8688 1.5730 17.4901
W 0.0322 0.0000 19.3217
W 8.1576 1.4822 1.9493
W 3.8566 0.0000 11.2110
W 3.7905 0.0000 14.0356
W 6.4549 1.2990 12.3652
W 3.6500 0.0000 20.2011
W 7.7749 0.0000 5.6141
W 2.8688 -1.5730 17.4901
W 4.7127 -1.6821 6.8906
W 7.4962 0.0000 8.4636
W 7.5520 0.0000 15.2146
W 6.4549 -1.2990 12.3652
O 1.0097 1.5941 16.4187
O -1.7262 0.0000 16.3364
O 0.4274 0.0000 5.8989
O 2.9205 1.2724 5.8097
O 2.5060 1.6937 13.6845
O 4.4188 1.4849 3.1416
O 1.8056 0.0000 3.0817
O 0.0158 0.0000 13.4647
O 3.3841 0.0000 0.8645
O 4.8257 1.7673 11.0839
O 1.7568 0.0000 11.1853
O 6.3654 1.4304 0.7431
O 6.4260 1.6993 8.2828
O 2.0184 0.0000 18.7544
O 4.0083 0.0000 7.9508
O 4.6067 1.4109 18.8757
O 2.9205 -1.2724 5.8097
O 5.6498 0.0000 5.7602
O 3.8102 0.0000 16.3541
O 1.0097 -1.5941 16.4187
O 4.4188 -1.4849 3.1416
O 7.2695 0.0000 3.1836
O 2.5060 -1.6937 13.6845
O 5.8111 0.0000 14.0203
O 6.3654 -1.4304 0.7431
O 9.2173 0.0000 0.7540
O 7.6312 0.0000 11.1596
O 4.8257 -1.7673 11.0839
O 4.6067 -1.4109 18.8757
O 7.4748 0.0000 18.7094
O 6.4260 -1.6993 8.2828
O 9.5378 0.0000 8.4057
```